# 1
Computed powder X-ray diffraction pattern of AlGaN2 for Cu Ka, from a DFT-relaxed cell (GGA-PBE, Alexandria).

Most intense lines, 5 to 70 degrees two-theta, in order of rising 2θ:
Position (°2θ)	I/Imax
17.3	37.7
32.6	71.2
34.9	38.0
37.1	100.0
48.5	35.9
64.1	35.0

Cell and atoms:
a b c (Å): 3.170 3.170 5.140
angles (deg): 90.00 90.00 120.00
Atoms (fractional coordinates):
Al 0.000 0.000 0.000
Ga 0.667 0.333 0.498
N 0.000 0.000 0.629
N 0.667 0.333 0.113

# 2
Computed powder X-ray diffraction pattern of AlGa2N3 for Cu Ka, from a DFT-relaxed cell (GGA-PBE, Alexandria).

Most intense lines, 5 to 70 degrees two-theta, in order of rising 2θ:
Position (°2θ)	I/Imax
18.6	6.5
21.9	9.8
34.6	100.0
40.1	28.4
58.0	43.0
69.3	36.3

Cell and atoms:
a b c (Å): 5.507 5.507 5.507
angles (deg): 146.44 59.96 131.86
Atoms (fractional coordinates):
Al 0.000 0.000 0.000
Ga 0.333 0.999 0.334
Ga 0.665 0.999 0.666
N 0.236 0.736 0.500
N 0.593 0.756 0.837
N 0.918 0.756 0.163

# 3
Computed powder X-ray diffraction pattern of AlGa2N2O for Cu Ka, from a DFT-relaxed cell (GGA-PBE, Alexandria).

Most intense lines, 5 to 70 degrees two-theta, in order of rising 2θ:
Position (°2θ)	I/Imax
32.9	64.1
33.2	51.1
35.5	70.0
37.0	100.0
56.6	32.6
61.7	29.5

Cell and atoms:
a b c (Å): 5.457 5.457 5.404
angles (deg): 90.00 90.00 63.29
Atoms (fractional coordinates):
Al 0.169 0.831 0.500
Al 0.831 0.169 0.000
Ga 0.184 0.492 0.055
Ga 0.492 0.184 0.555
Ga 0.508 0.816 0.055
Ga 0.816 0.508 0.555
N 0.160 0.497 0.425
N 0.497 0.160 0.925
N 0.503 0.840 0.425
N 0.840 0.503 0.925
O 0.100 0.900 0.826
O 0.900 0.100 0.326

# 4
Computed powder X-ray diffraction pattern of NaAl6Ga12 for Cu Ka, from a DFT-relaxed cell (GGA-PBE, Alexandria).

Most intense lines, 5 to 70 degrees two-theta, in order of rising 2θ:
Position (°2θ)	I/Imax
21.5	51.6
32.8	100.0
33.4	46.6
39.3	50.3
39.8	51.6
48.5	44.3

Cell and atoms:
a b c (Å): 7.514 7.514 7.514
angles (deg): 105.12 105.12 105.12
Atoms (fractional coordinates):
Na 0.000 0.000 0.000
Al 0.292 0.701 0.701
Al 0.299 0.299 0.708
Al 0.299 0.708 0.299
Al 0.701 0.292 0.701
Al 0.701 0.701 0.292
Al 0.708 0.299 0.299
Ga 0.109 0.500 0.891
Ga 0.109 0.891 0.500
Ga 0.125 0.372 0.372
Ga 0.372 0.125 0.372
Ga 0.372 0.372 0.125
Ga 0.500 0.109 0.891
Ga 0.500 0.891 0.109
Ga 0.628 0.628 0.875
Ga 0.628 0.875 0.628
Ga 0.875 0.628 0.628
Ga 0.891 0.109 0.500
Ga 0.891 0.500 0.109

# 5
Computed powder X-ray diffraction pattern of Na3AlGa8 for Cu Ka, from a DFT-relaxed cell (GGA-PBE, Alexandria).

Most intense lines, 5 to 70 degrees two-theta, in order of rising 2θ:
Position (°2θ)	I/Imax
19.5	89.8
37.7	44.1
37.9	89.8
38.1	41.0
39.5	100.0
46.1	45.2

Cell and atoms:
a b c (Å): 9.592 9.592 9.592
angles (deg): 33.89 33.89 33.89
Atoms (fractional coordinates):
Na 0.000 0.000 0.000
Na 0.125 0.125 0.125
Na 0.502 0.502 0.502
Al 0.634 0.634 0.634
Ga 0.063 0.063 0.564
Ga 0.063 0.561 0.561
Ga 0.063 0.564 0.063
Ga 0.313 0.313 0.313
Ga 0.561 0.063 0.561
Ga 0.561 0.561 0.063
Ga 0.564 0.063 0.063
Ga 0.811 0.811 0.811

# 6
Computed powder X-ray diffraction pattern of Na3Al3Ga8 for Cu Ka, from a DFT-relaxed cell (GGA-PBE, Alexandria).

Most intense lines, 5 to 70 degrees two-theta, in order of rising 2θ:
Position (°2θ)	I/Imax
22.0	54.7
34.2	82.3
34.6	100.0
36.0	55.8
40.7	77.6
44.8	60.8

Cell and atoms:
a b c (Å): 8.323 8.323 8.323
angles (deg): 149.13 108.06 80.31
Atoms (fractional coordinates):
Na 0.000 0.000 0.000
Na 0.289 0.289 0.000
Na 0.711 0.711 0.000
Al 0.323 0.500 0.823
Al 0.500 0.000 0.500
Al 0.677 0.500 0.177
Ga 0.020 0.652 0.368
Ga 0.141 0.853 0.288
Ga 0.284 0.652 0.632
Ga 0.435 0.147 0.288
Ga 0.565 0.853 0.712
Ga 0.716 0.348 0.368
Ga 0.859 0.147 0.712
Ga 0.980 0.348 0.632

# 7
Computed powder X-ray diffraction pattern of Na2AlGaSe4 for Cu Ka, from a DFT-relaxed cell (GGA-PBE, Alexandria).

Most intense lines, 5 to 70 degrees two-theta, in order of rising 2θ:
Position (°2θ)	I/Imax
16.1	28.9
26.2	100.0
31.4	15.0
38.2	24.1
46.0	34.6
47.0	25.1

Cell and atoms:
a b c (Å): 6.798 6.798 6.798
angles (deg): 121.35 121.35 87.69
Atoms (fractional coordinates):
Na 0.000 0.000 0.000
Na 0.750 0.250 0.500
Al 0.500 0.500 0.000
Ga 0.250 0.750 0.500
Se 0.187 0.128 0.560
Se 0.374 0.813 0.942
Se 0.568 0.626 0.440
Se 0.872 0.432 0.058

# 8
Computed powder X-ray diffraction pattern of Nb2Al3Ga2 for Cu Ka, from a DFT-relaxed cell (GGA-PBE, Alexandria).

Most intense lines, 5 to 70 degrees two-theta, in order of rising 2θ:
Position (°2θ)	I/Imax
13.9	58.0
30.2	32.0
37.3	100.0
39.9	83.2
42.4	35.3
43.4	29.6

Cell and atoms:
a b c (Å): 5.250 5.250 6.548
angles (deg): 102.36 102.36 41.89
Atoms (fractional coordinates):
Nb 0.135 0.135 0.426
Nb 0.865 0.865 0.574
Al 0.000 0.000 0.000
Al 0.298 0.298 0.853
Al 0.702 0.702 0.147
Ga 0.412 0.412 0.275
Ga 0.588 0.588 0.725

# 9
Computed powder X-ray diffraction pattern of NbAl2Ga4 for Cu Ka, from a DFT-relaxed cell (GGA-PBE, Alexandria).

Most intense lines, 5 to 70 degrees two-theta, in order of rising 2θ:
Position (°2θ)	I/Imax
34.5	100.0
37.9	45.9
39.6	26.2
44.1	88.9
52.2	22.6
69.6	19.0

Cell and atoms:
a b c (Å): 5.409 5.409 5.409
angles (deg): 103.33 103.33 122.61
Atoms (fractional coordinates):
Nb 0.000 0.000 0.000
Al 0.250 0.750 0.500
Al 0.750 0.250 0.500
Ga 0.304 0.304 0.611
Ga 0.307 0.696 0.000
Ga 0.693 0.693 0.389
Ga 0.696 0.307 0.000

# 10
Computed powder X-ray diffraction pattern of Nb4AlGa5 for Cu Ka, from a DFT-relaxed cell (GGA-PBE, Alexandria).

Most intense lines, 5 to 70 degrees two-theta, in order of rising 2θ:
Position (°2θ)	I/Imax
33.7	33.4
35.0	100.0
37.3	26.0
46.5	22.3
49.3	56.6
50.3	28.3

Cell and atoms:
a b c (Å): 6.325 6.325 6.325
angles (deg): 100.20 100.20 130.22
Atoms (fractional coordinates):
Nb 0.078 0.302 0.379
Nb 0.302 0.922 0.224
Nb 0.698 0.078 0.776
Nb 0.922 0.698 0.621
Al 0.766 0.766 0.000
Ga 0.228 0.228 0.000
Ga 0.235 0.595 0.828
Ga 0.407 0.235 0.640
Ga 0.595 0.767 0.360
Ga 0.767 0.407 0.172

# 11
Computed powder X-ray diffraction pattern of Nb2Al3Ga3 for Cu Ka, from a DFT-relaxed cell (GGA-PBE, Alexandria).

Most intense lines, 5 to 70 degrees two-theta, in order of rising 2θ:
Position (°2θ)	I/Imax
25.4	27.4
39.2	100.0
41.7	21.0
47.4	28.6
64.9	21.7
69.3	8.9

Cell and atoms:
a b c (Å): 3.834 3.834 8.673
angles (deg): 90.00 90.00 90.00
Atoms (fractional coordinates):
Nb 0.000 0.500 0.250
Nb 0.500 0.000 0.750
Al 0.000 0.000 0.500
Al 0.000 0.500 0.747
Al 0.500 0.000 0.253
Ga 0.000 0.000 0.000
Ga 0.500 0.500 0.000
Ga 0.500 0.500 0.500

# 12
Computed powder X-ray diffraction pattern of Nb6AlGa for Cu Ka, from a DFT-relaxed cell (GGA-PBE, Alexandria).

Most intense lines, 5 to 70 degrees two-theta, in order of rising 2θ:
Position (°2θ)	I/Imax
34.5	19.9
38.7	100.0
42.5	43.7
61.7	12.3
64.6	21.4
67.3	21.5

Cell and atoms:
a b c (Å): 5.205 5.205 5.205
angles (deg): 90.00 90.00 90.00
Atoms (fractional coordinates):
Nb 0.000 0.248 0.500
Nb 0.000 0.752 0.500
Nb 0.248 0.500 0.000
Nb 0.500 0.000 0.248
Nb 0.500 0.000 0.752
Nb 0.752 0.500 0.000
Al 0.000 0.000 0.000
Ga 0.500 0.500 0.500

# 13
Computed powder X-ray diffraction pattern of NbAlVGa for Cu Ka, from a DFT-relaxed cell (GGA-PBE, Alexandria).

Most intense lines, 5 to 70 degrees two-theta, in order of rising 2θ:
Position (°2θ)	I/Imax
18.2	76.0
33.8	97.9
35.7	100.0
36.8	81.7
43.0	76.2
50.0	68.0

Cell and atoms:
a b c (Å): 5.664 5.664 5.664
angles (deg): 151.88 127.26 60.83
Atoms (fractional coordinates):
Nb 0.000 0.000 0.000
Al 0.722 0.722 0.000
V 0.265 0.265 0.000
Ga 0.485 0.985 0.500

# 14
Computed powder X-ray diffraction pattern of Nd2AlGa3 for Cu Ka, from a DFT-relaxed cell (GGA-PBE, Alexandria).

Most intense lines, 5 to 70 degrees two-theta, in order of rising 2θ:
Position (°2θ)	I/Imax
27.0	21.2
31.9	100.0
36.2	26.7
36.8	23.6
41.3	20.5
43.3	17.8

Cell and atoms:
a b c (Å): 8.120 8.120 8.120
angles (deg): 150.19 148.73 43.74
Atoms (fractional coordinates):
Nd 0.000 0.000 0.000
Nd 0.759 0.259 0.500
Al 0.588 0.588 0.000
Ga 0.171 0.671 0.500
Ga 0.336 0.836 0.500
Ga 0.422 0.422 0.000